Calculated XRD peak list
Compound: CaPaBiO5
Radiation: Cu Kα
Structure: the PBE geometry in Alexandria
Neutral-atom scattering factors, no anomalous dispersion.

Peak list (10 most intense, 2θ = 5–70°, low angle first)
- 5.862 Å, 15.11°, intensity 30, hkl 1 1 0
- 3.957 Å, 22.47°, intensity 100, hkl 1 1 1
- 3.675 Å, 24.22°, intensity 77, hkl 2 0 -2
- 2.933 Å, 30.48°, intensity 60, hkl 2 2 0
- 2.885 Å, 30.99°, intensity 69, hkl 1 3 -1
- 2.693 Å, 33.27°, intensity 52, hkl 3 1 -1
- 1.993 Å, 45.50°, intensity 29, hkl 2 4 0
- 1.945 Å, 46.70°, intensity 25, hkl 4 2 -2
- 1.931 Å, 47.06°, intensity 26, hkl 3 3 -3
- 1.740 Å, 52.61°, intensity 33, hkl 3 3 1

Crystal structure
Cell lengths 8.537, 9.411, 8.557 Å; angles 90.00, 118.64, 90.00 degrees
Space group C2/c (No. 15)
Asymmetric unit:
Ca 0.000 0.053 0.250 (multiplicity 4)
Pa 0.250 0.250 0.000 (multiplicity 4)
Bi 0.000 0.414 0.250 (multiplicity 4)
O 0.000 0.217 0.750 (multiplicity 4)
O 0.098 0.244 0.151 (multiplicity 8)
O 0.244 0.479 0.997 (multiplicity 8)